Simulated PXRD pattern of RbPm2Cl7 for copper Kα, from a DFT-relaxed cell (GGA-PBE, Alexandria).
Intensities are scaled so that the largest is 100.

Largest 10 diffraction maxima, sorted by position, 5 to 70 degrees two-theta:
2θ = 12.64°, I 64
2θ = 16.26°, I 96
2θ = 20.24°, I 60
2θ = 20.43°, I 80
2θ = 20.64°, I 60
2θ = 21.60°, I 84
2θ = 32.85°, I 100
2θ = 35.67°, I 42
2θ = 36.49°, I 52
2θ = 37.54°, I 60

Atomic structure:
```
10
Lattice="4.3466 -7.0059 0.0000 4.3466 7.0059 0.0000 0.0000 0.0000 5.4516" Properties=species:S:1:pos:R:3 pbc="T T T"
Rb 0.0000 0.0000 0.0000
Pm 4.3466 2.7592 2.7258
Pm 4.3466 -2.7592 2.7258
Cl 1.6339 1.9507 2.7258
Cl 4.3466 2.9398 0.0000
Cl 1.6339 -1.9507 2.7258
Cl 4.3466 0.0000 2.7258
Cl 7.0593 1.9507 2.7258
Cl 4.3466 -2.9398 0.0000
Cl 7.0593 -1.9507 2.7258
```

=====

Simulated PXRD pattern of K2InSO6 for copper Kα, from a DFT-relaxed cell (GGA-PBE, Alexandria).
Intensities are scaled so that the largest is 100.

Largest 10 diffraction maxima, sorted by position, 5 to 70 degrees two-theta:
2θ = 16.84°, I 100
2θ = 23.59°, I 35
2θ = 29.38°, I 48
2θ = 37.40°, I 20
2θ = 38.02°, I 30
2θ = 44.87°, I 15
2θ = 48.26°, I 22
2θ = 48.76°, I 15
2θ = 57.51°, I 17
2θ = 60.95°, I 8

Atomic structure:
```
10
Lattice="6.0800 0.0000 0.0000 -3.0400 5.2654 0.0000 0.0000 0.0000 5.4057" Properties=species:S:1:pos:R:3 pbc="T T T"
K 0.0000 3.5103 0.6994
K 3.0400 1.7551 4.7063
In 0.0000 0.0000 2.7028
S 0.0000 0.0000 0.0000
O 0.0000 1.3751 4.4101
O -1.8491 4.5779 4.4101
O 1.1909 0.6876 0.9956
O 1.8491 4.5779 4.4101
O 4.8891 0.6876 0.9956
O 3.0400 3.8903 0.9956
```

=====

Simulated PXRD pattern of ReAsRu2 for copper Kα, from a DFT-relaxed cell (GGA-PBE, Alexandria).
Intensities are scaled so that the largest is 100.

Largest 10 diffraction maxima, sorted by position, 5 to 70 degrees two-theta:
2θ = 28.44°, I 14
2θ = 32.67°, I 17
2θ = 33.90°, I 14
2θ = 40.21°, I 100
2θ = 40.82°, I 35
2θ = 41.25°, I 87
2θ = 46.57°, I 36
2θ = 47.26°, I 35
2θ = 54.07°, I 23
2θ = 63.63°, I 19

Atomic structure:
```
8
Lattice="3.9001 0.0000 0.0000 0.0000 2.8383 0.0000 0.0000 0.0000 10.5758" Properties=species:S:1:pos:R:3 pbc="T T T"
Re 0.0000 0.0000 0.0000
Re 0.0000 1.4191 5.2879
As 1.9500 0.0000 8.8930
As 1.9500 1.4191 3.6051
Ru 0.0000 0.0000 2.7692
Ru 0.0000 1.4191 8.0571
Ru 1.9500 0.0000 6.4507
Ru 1.9500 1.4191 1.1628
```